The following is a theoretical powder diffraction line list of RbCa2NiF8. It was derived from DFT lattice parameters and positions (GGA+U), using Cu Ka.

The 12 most intense peaks (2θ from 10° to 90°), in order of rising 2θ:
index	two_theta	I_rel
1 0 0	17.3	26
1 1 0	24.3	100
1 -1 0	24.8	75
1 0 2	29.8	55
1 0 -2	30.1	55
0 2 0	34.9	30
2 1 2	46.0	32
2 1 -2	46.7	29
1 -2 2	47.0	21
-2 1 2	47.3	19
2 2 0	49.7	31
1 -1 4	56.3	20

Structure:
abc: 5.1275 5.1371 7.3311
angles: 89.45 89.15 88.66
Sites, in units of the cell vectors:
Rb 0.0000 0.0000 0.0000
Ca 0.4988 0.4990 0.2571
Ca 0.5012 0.5010 0.7429
Ni 0.0000 0.0000 0.5000
F 0.2043 0.8272 0.6803
F 0.2131 0.8362 0.3177
F 0.2569 0.2916 0.5021
F 0.2813 0.4047 0.0025
F 0.7187 0.5953 0.9975
F 0.7431 0.7084 0.4979
F 0.7869 0.1638 0.6822
F 0.7957 0.1728 0.3197